# 1
Pm5H12Ru2: simulated powder diffraction line list (Cu Kα (λ = 1.5418 Å)), based on a cell relaxed with GGA-PBE.
Neutral-atom scattering factors, no anomalous dispersion.

Principal peaks in the range 5° ≤ 2θ ≤ 70°, by angle:
2θ = 28.7°, rel. 906; 2θ = 28.8°, rel. 1000; 2θ = 30.7°, rel. 194; 2θ = 33.2°, rel. 604; 2θ = 34.8°, rel. 177; 2θ = 35.8°, rel. 323; 2θ = 38.6°, rel. 164; 2θ = 49.5°, rel. 201; 2θ = 53.4°, rel. 313; 2θ = 58.1°, rel. 131

Structural model:
```
19
Lattice="5.682 -2.914 0.000 5.682 2.914 0.000 -1.876 0.000 7.139" Properties=species:S:1:pos:R:3 pbc="T T T"
Pm 0.000 0.000 0.000
Pm 2.169 0.000 4.701
Pm 3.564 0.000 1.043
Pm 5.923 0.000 6.096
Pm 7.319 0.000 2.439
H -0.506 0.000 2.487
H 2.048 1.516 6.456
H 3.117 1.319 2.976
H 7.440 1.516 0.683
H 6.371 1.319 4.164
H 4.386 0.000 4.501
H 5.101 0.000 2.638
H 3.117 -1.319 2.976
H 2.048 -1.516 6.456
H 6.371 -1.319 4.164
H 7.440 -1.516 0.683
H 9.994 0.000 4.652
Ru 4.744 1.512 3.570
Ru 4.744 -1.512 3.570
```



# 2
SmDy3Ho: simulated powder diffraction line list (Cu Kα (λ = 1.5418 Å)), based on a cell relaxed with GGA-PBE.
Neutral-atom scattering factors, no anomalous dispersion.

Principal peaks in the range 5° ≤ 2θ ≤ 70°, by angle:
2θ = 30.8°, rel. 1000; 2θ = 35.7°, rel. 506; 2θ = 51.4°, rel. 360; 2θ = 61.2°, rel. 428; 2θ = 64.2°, rel. 123

Structural model:
```
10
Lattice="7.944 0.000 0.000 0.000 5.025 0.000 -0.006 0.000 7.953" Properties=species:S:1:pos:R:3 pbc="T T T"
Sm 1.193 1.256 3.573
Sm 6.745 3.769 4.379
Dy 0.394 3.769 1.177
Dy 1.998 3.769 5.975
Dy 3.568 3.769 2.774
Dy 4.370 1.256 5.179
Dy 5.939 1.256 1.978
Dy 7.544 1.256 6.775
Ho 2.784 1.256 0.388
Ho 5.153 3.769 7.564
```



# 3
Pm3PrCd4: simulated powder diffraction line list (Cu Kα (λ = 1.5418 Å)), based on a cell relaxed with GGA-PBE.
Neutral-atom scattering factors, no anomalous dispersion.

Principal peaks in the range 5° ≤ 2θ ≤ 70°, by angle:
2θ = 22.9°, rel. 8; 2θ = 23.2°, rel. 16; 2θ = 32.9°, rel. 1000; 2θ = 33.1°, rel. 492; 2θ = 46.9°, rel. 92; 2θ = 47.5°, rel. 177; 2θ = 58.6°, rel. 186; 2θ = 59.0°, rel. 364; 2θ = 69.0°, rel. 113; 2θ = 69.4°, rel. 55

Structural model:
```
16
Lattice="10.827 0.000 0.000 0.000 7.753 0.000 0.000 0.000 5.414" Properties=species:S:1:pos:R:3 pbc="T T T"
Pm 0.000 0.000 0.000
Pm 2.707 0.000 2.701
Pm 2.707 3.877 2.700
Pm 5.413 0.000 0.000
Pm 8.120 0.000 2.713
Pm 8.120 3.877 2.714
Pr 0.000 3.877 0.000
Pr 5.413 3.877 0.000
Cd 0.000 1.913 2.707
Cd 0.000 5.840 2.707
Cd 2.707 1.912 5.406
Cd 2.707 5.841 5.406
Cd 5.413 1.913 2.707
Cd 5.413 5.840 2.707
Cd 8.120 1.912 0.008
Cd 8.120 5.841 0.008
```